# Ni3Ir3S8
Theoretical X-ray powder pattern, λ = 1.5418 Å (Cu Kα). Input: a PBE-relaxed structure.

Peak list (10 most intense, 2θ from 10° to 90°, low angle first)
| 2θ/deg | I/Imax |
| --- | --- |
| 15.80 | 9.8 |
| 25.99 | 12.9 |
| 26.11 | 47.8 |
| 30.63 | 100.0 |
| 45.78 | 10.8 |
| 46.04 | 15.5 |
| 48.96 | 40.8 |
| 53.46 | 25.9 |
| 53.71 | 25.8 |
| 75.64 | 10.4 |

```
Ni3Ir3S8
1.0
3.413 1.971 5.610
-3.413 1.971 5.610
0.000 -3.941 5.610
Ni Ir S
3 3 8
direct
0.000 0.500 0.500
0.500 0.000 0.500
0.500 0.500 0.000
0.125 0.125 0.125
0.500 0.500 0.500
0.875 0.875 0.875
0.257 0.257 0.720
0.257 0.720 0.257
0.259 0.259 0.259
0.280 0.743 0.743
0.720 0.257 0.257
0.741 0.741 0.741
0.743 0.280 0.743
0.743 0.743 0.280
```